Entry 1:
Diffraction record for LiFeBO3. The XRD peak list is computed, not measured: it uses DFT lattice parameters and positions (GGA+U) and λ = 1.5418 Å (Cu Kα).

The 10 most intense peaks (10° ≤ 2θ ≤ 90°), in order of rising 2θ:
13.4 deg, 6.598 Å, I 60
19.8 deg, 4.488 Å, I 100
20.8 deg, 4.278 Å, I 56
27.0 deg, 3.299 Å, I 68
31.3 deg, 2.860 Å, I 25
33.6 deg, 2.670 Å, I 21
33.7 deg, 2.657 Å, I 20
35.3 deg, 2.541 Å, I 22
51.0 deg, 1.790 Å, I 19
51.7 deg, 1.767 Å, I 25

Structure:
```
LiFeBO3
1.0
3.184 0.000 0.000
0.249 8.976 0.000
0.051 0.010 9.731
Li Fe B O
4 4 4 12
direct
0.242 0.375 0.289
0.256 0.124 0.788
0.744 0.876 0.212
0.758 0.625 0.711
0.248 0.710 0.942
0.250 0.789 0.443
0.750 0.211 0.557
0.752 0.290 0.058
0.243 0.110 0.293
0.259 0.389 0.793
0.741 0.611 0.207
0.757 0.890 0.707
0.235 0.958 0.296
0.236 0.198 0.413
0.252 0.302 0.913
0.260 0.187 0.169
0.260 0.314 0.669
0.264 0.542 0.796
0.736 0.458 0.204
0.740 0.686 0.331
0.740 0.813 0.831
0.748 0.698 0.087
0.764 0.802 0.587
0.765 0.042 0.704
```

Entry 2:
Diffraction record for MgMn4Cu3O12. The XRD peak list is computed, not measured: it uses DFT lattice parameters and positions (GGA+U) and λ = 1.5418 Å (Cu Kα).

The 10 most intense peaks (10° ≤ 2θ ≤ 90°), in order of rising 2θ:
17.0 deg, 5.202 Å, I 7
29.7 deg, 3.003 Å, I 9
34.5 deg, 2.601 Å, I 100
38.7 deg, 2.326 Å, I 7
46.2 deg, 1.966 Å, I 4
49.6 deg, 1.839 Å, I 26
61.8 deg, 1.502 Å, I 50
72.7 deg, 1.301 Å, I 12
75.3 deg, 1.262 Å, I 3
83.0 deg, 1.163 Å, I 16

Structure:
```
MgMn4Cu3O12
1.0
-3.678 3.678 3.678
3.678 -3.678 3.678
3.678 3.678 -3.678
Mg Mn Cu O
1 4 3 12
direct
0.000 0.000 0.000
0.000 0.000 0.500
0.000 0.500 0.000
0.500 0.000 0.000
0.500 0.500 0.500
0.000 0.500 0.500
0.500 0.000 0.500
0.500 0.500 0.000
0.137 0.831 0.307
0.169 0.307 0.476
0.169 0.693 0.863
0.307 0.137 0.831
0.307 0.476 0.169
0.476 0.169 0.307
0.524 0.831 0.693
0.693 0.524 0.831
0.693 0.863 0.169
0.831 0.307 0.137
0.831 0.693 0.524
0.863 0.169 0.693
```

Entry 3:
Diffraction record for MnCoO3. The XRD peak list is computed, not measured: it uses DFT lattice parameters and positions (GGA+U) and λ = 1.5418 Å (Cu Kα).

The 10 most intense peaks (10° ≤ 2θ ≤ 90°), in order of rising 2θ:
17.0 deg, 5.218 Å, I 49
27.9 deg, 3.200 Å, I 100
34.4 deg, 2.609 Å, I 43
35.0 deg, 2.566 Å, I 46
35.4 deg, 2.538 Å, I 39
37.2 deg, 2.418 Å, I 44
38.7 deg, 2.329 Å, I 27
40.0 deg, 2.256 Å, I 27
54.6 deg, 1.681 Å, I 25
66.1 deg, 1.413 Å, I 23

Structure:
```
MnCoO3
1.0
3.006 0.000 0.000
-1.358 5.482 0.000
-0.223 -2.059 6.400
Mn Co O
2 2 6
direct
0.153 0.302 0.321
0.847 0.698 0.679
0.369 0.711 0.157
0.631 0.289 0.843
0.152 0.315 0.040
0.223 0.420 0.634
0.451 0.926 0.708
0.549 0.074 0.292
0.777 0.580 0.366
0.848 0.685 0.960
```

Entry 4:
Diffraction record for Li3MnFe2B3O9. The XRD peak list is computed, not measured: it uses DFT lattice parameters and positions (GGA+U) and λ = 1.5418 Å (Cu Kα).

The 10 most intense peaks (10° ≤ 2θ ≤ 90°), in order of rising 2θ:
21.6 deg, 4.120 Å, I 100
31.0 deg, 2.888 Å, I 16
35.8 deg, 2.506 Å, I 79
37.8 deg, 2.381 Å, I 21
37.9 deg, 2.373 Å, I 11
44.2 deg, 2.051 Å, I 10
47.8 deg, 1.901 Å, I 19
53.1 deg, 1.724 Å, I 16
54.7 deg, 1.679 Å, I 11
58.4 deg, 1.579 Å, I 11

Structure:
```
Li3MnFe2B3O9
1.0
8.224 0.000 0.000
0.000 3.158 0.000
-4.090 0.000 7.149
Li Mn Fe B O
3 1 2 3 9
direct
0.000 0.000 0.000
0.268 0.000 0.586
0.683 0.000 0.270
0.358 0.500 0.298
0.625 0.500 0.918
0.976 0.500 0.646
0.318 0.000 0.950
0.654 0.000 0.622
0.982 0.500 0.283
0.065 0.500 0.172
0.093 0.500 0.478
0.123 0.000 0.842
0.404 0.000 0.143
0.426 0.000 0.863
0.459 0.000 0.508
0.732 0.000 0.815
0.767 0.000 0.540
0.787 0.500 0.201
```